Theoretical powder X-ray diffraction pattern
Compound: AcCrBrO4
Radiation: Cu Kα X-rays
Structure: a crystal structure in Alexandria, relaxed with GGA+U
Peak positions follow from Bragg's law for the DFT cell and can differ from measured ones.

Structural model:
Cell lengths 10.8145, 7.6466, 7.1285 Å; angles 90.00, 103.59, 90.00 degrees
Space group C2/m (No. 12)
Symmetry-distinct sites (fractional):
Ac: 0.2351 0.0000 0.1402 x4
Cr: 0.1365 0.5000 0.2584 x4
Br: 0.0256 0.0000 0.7546 x4
O: 0.0184 0.5000 0.7656 x4
O: 0.1811 0.3269 0.1415 x8
O: 0.2080 0.5000 0.4897 x4

Largest 8 diffraction maxima, most intense first, 5° ≤ 2θ ≤ 70°:
d_spacing, I/Imax, (hkl)
3.823, 100, 0 2 0
3.162, 62, 3 1 -1
6.929, 59, 0 0 1
2.643, 45, 3 1 -2
5.256, 41, 2 0 0
2.859, 40, 1 1 2
4.967, 36, 1 1 -1
1.963, 34, 1 3 2